# Y2HoCo2B2O3
Calculated XRD peak list, a wavelength of 1.5418 Å. Input: DFT lattice parameters and positions (PBE+U).
Intensities are scaled so that the largest is 100.

Crystal structure
```
Y2HoCo2B2O3
1.0
-1.701 1.701 10.725
1.701 -1.701 10.725
1.701 1.701 -10.725
Y Ho Co B O
2 1 2 2 3
Direct
0.137 0.137 0.000
0.863 0.863 0.000
0.500 0.500 0.000
0.250 0.750 0.500
0.750 0.250 0.500
0.290 0.290 0.000
0.710 0.710 0.000
0.000 0.000 0.000
0.398 0.398 0.000
0.602 0.602 0.000
```

The 10 most intense peaks (2θ from 5° to 70°), by angle:
| d (Å) | I_rel |
| --- | --- |
| 3.072 | 100 |
| 2.681 | 48 |
| 2.665 | 35 |
| 2.405 | 27 |
| 2.347 | 46 |
| 1.996 | 49 |
| 1.701 | 31 |
| 1.692 | 27 |
| 1.488 | 24 |
| 1.436 | 26 |